Record 1
Diffraction record for Na6HgTe4. The XRD peak list is simulated, not measured: it uses a GGA-PBE-relaxed structure and copper Kα.
Neutral-atom scattering factors, no anomalous dispersion.

Crystal structure
```
11
Lattice="-2.311 8.186 4.567 2.311 -8.186 4.567 2.311 8.186 -4.567" Properties=species:S:1:pos:R:3 pbc="T T T"
Na 2.311 -3.084 2.647
Na 0.000 2.033 0.000
Na 2.311 3.084 2.647
Na 0.000 5.890 1.583
Na 0.000 10.482 1.583
Na 0.000 14.339 0.000
Hg 0.000 0.000 3.899
Te 2.311 4.133 -0.216
Te 2.311 0.000 2.145
Te 0.000 4.053 4.351
Te 0.000 0.000 6.672
```

Peak list (10 most intense, 10 to 90 degrees two-theta, sorted by position)
- 7.976 Å, 2θ = 11.1°, intensity 60
- 4.124 Å, 2θ = 21.5°, intensity 61
- 4.093 Å, 2θ = 21.7°, intensity 72
- 3.988 Å, 2θ = 22.3°, intensity 40
- 3.187 Å, 2θ = 28.0°, intensity 29
- 2.905 Å, 2θ = 30.8°, intensity 100
- 2.543 Å, 2θ = 35.3°, intensity 43
- 2.428 Å, 2θ = 37.0°, intensity 37
- 2.310 Å, 2θ = 39.0°, intensity 38
- 2.160 Å, 2θ = 41.8°, intensity 48


Record 2
Diffraction record for NaTmHgTe3. The XRD peak list is simulated, not measured: it uses a GGA-PBE-relaxed structure and copper Kα.
Neutral-atom scattering factors, no anomalous dispersion.

Crystal structure
```
12
Lattice="8.795 0.000 0.000 0.000 4.424 0.000 -2.860 0.000 10.305" Properties=species:S:1:pos:R:3 pbc="T T T"
Na 1.190 1.106 2.227
Na 4.745 3.318 8.079
Tm 0.423 3.318 8.788
Tm 5.511 1.106 1.517
Hg -0.950 1.106 6.234
Hg 6.885 3.318 4.071
Te -1.760 1.106 8.929
Te 0.779 3.318 5.604
Te 3.416 3.318 1.536
Te 2.519 1.106 8.769
Te 5.156 1.106 4.702
Te 7.694 3.318 1.376
```

Peak list (10 most intense, 10 to 90 degrees two-theta, sorted by position)
- 7.621 Å, 2θ = 11.6°, intensity 100
- 3.435 Å, 2θ = 25.9°, intensity 19
- 3.101 Å, 2θ = 28.8°, intensity 24
- 3.060 Å, 2θ = 29.2°, intensity 55
- 2.923 Å, 2θ = 30.6°, intensity 16
- 2.759 Å, 2θ = 32.5°, intensity 31
- 2.444 Å, 2θ = 36.8°, intensity 17
- 2.212 Å, 2θ = 40.8°, intensity 22
- 2.191 Å, 2θ = 41.2°, intensity 47
- 2.093 Å, 2θ = 43.2°, intensity 16


Record 3
Diffraction record for Na3ThHg4. The XRD peak list is simulated, not measured: it uses a GGA-PBE-relaxed structure and copper Kα.
Neutral-atom scattering factors, no anomalous dispersion.

Crystal structure
```
8
Lattice="3.591 0.000 0.000 0.000 3.591 0.000 0.000 0.000 16.369" Properties=species:S:1:pos:R:3 pbc="T T T"
Na 0.000 0.000 0.000
Na 0.000 0.000 4.081
Na 0.000 0.000 12.289
Th 0.000 0.000 8.185
Hg 1.795 1.795 2.022
Hg 1.795 1.795 6.061
Hg 1.795 1.795 10.308
Hg 1.795 1.795 14.347
```

Peak list (10 most intense, 10 to 90 degrees two-theta, sorted by position)
- 4.092 Å, 2θ = 21.7°, intensity 15
- 3.591 Å, 2θ = 24.8°, intensity 22
- 2.699 Å, 2θ = 33.2°, intensity 100
- 2.539 Å, 2θ = 35.4°, intensity 43
- 2.157 Å, 2θ = 41.9°, intensity 11
- 2.046 Å, 2θ = 44.3°, intensity 11
- 1.795 Å, 2θ = 50.9°, intensity 15
- 1.593 Å, 2θ = 57.9°, intensity 20
- 1.495 Å, 2θ = 62.1°, intensity 34
- 1.349 Å, 2θ = 69.7°, intensity 12


Record 4
Diffraction record for Na2ThHg8. The XRD peak list is simulated, not measured: it uses a GGA-PBE-relaxed structure and copper Kα.
Neutral-atom scattering factors, no anomalous dispersion.

Crystal structure
```
11
Lattice="-2.509 3.983 7.054 2.509 -3.983 7.054 2.509 3.983 -7.054" Properties=species:S:1:pos:R:3 pbc="T T T"
Na 0.000 0.000 2.918
Na 0.000 0.000 11.190
Th 0.000 0.000 7.054
Hg 2.509 1.567 -2.059
Hg 0.000 1.535 0.000
Hg 2.509 0.000 4.821
Hg 2.509 1.567 2.059
Hg 0.000 2.416 4.995
Hg 0.000 3.983 2.233
Hg 0.000 6.431 0.000
Hg 0.000 2.416 9.113
```

Peak list (10 most intense, 10 to 90 degrees two-theta, sorted by position)
- 3.638 Å, 2θ = 24.5°, intensity 31
- 2.713 Å, 2θ = 33.0°, intensity 37
- 2.610 Å, 2θ = 34.4°, intensity 30
- 2.600 Å, 2θ = 34.5°, intensity 100
- 2.509 Å, 2θ = 35.8°, intensity 34
- 2.351 Å, 2θ = 38.3°, intensity 21
- 1.809 Å, 2θ = 50.5°, intensity 21
- 1.465 Å, 2θ = 63.5°, intensity 18
- 1.395 Å, 2θ = 67.1°, intensity 16
- 1.352 Å, 2θ = 69.5°, intensity 16


Record 5
Diffraction record for NaTh2Hg4. The XRD peak list is simulated, not measured: it uses a GGA-PBE-relaxed structure and copper Kα.
Neutral-atom scattering factors, no anomalous dispersion.

Crystal structure
```
7
Lattice="2.613 1.508 8.457 -2.613 1.508 8.457 0.000 -3.017 8.457" Properties=species:S:1:pos:R:3 pbc="T T T"
Na 0.000 0.000 0.000
Th 0.000 0.000 6.307
Th 0.000 0.000 19.063
Hg 0.000 0.000 3.171
Hg 0.000 0.000 9.583
Hg 0.000 0.000 15.787
Hg 0.000 0.000 22.200
```

Peak list (10 most intense, 10 to 90 degrees two-theta, sorted by position)
- 4.262 Å, 2θ = 20.8°, intensity 35
- 2.613 Å, 2θ = 34.3°, intensity 100
- 2.597 Å, 2θ = 34.5°, intensity 98
- 2.224 Å, 2θ = 40.6°, intensity 23
- 1.842 Å, 2θ = 49.5°, intensity 36
- 1.508 Å, 2θ = 61.5°, intensity 19
- 1.505 Å, 2θ = 61.6°, intensity 38
- 1.496 Å, 2θ = 62.0°, intensity 18
- 1.167 Å, 2θ = 82.7°, intensity 17
- 1.163 Å, 2θ = 83.1°, intensity 16


Record 6
Diffraction record for Na5ThHg6. The XRD peak list is simulated, not measured: it uses a GGA-PBE-relaxed structure and copper Kα.
Neutral-atom scattering factors, no anomalous dispersion.

Crystal structure
```
12
Lattice="5.365 0.000 0.000 0.000 7.456 0.000 -2.389 0.000 7.859" Properties=species:S:1:pos:R:3 pbc="T T T"
Na 0.000 0.000 0.000
Na 0.327 3.728 5.118
Na 0.393 0.000 5.305
Na 2.584 0.000 2.554
Na 2.649 3.728 2.740
Th 0.000 3.728 0.000
Hg -0.130 1.782 2.580
Hg -0.130 5.674 2.580
Hg 2.683 1.974 0.000
Hg 2.683 5.482 0.000
Hg 3.106 1.782 5.279
Hg 3.106 5.674 5.279
```

Peak list (10 most intense, 10 to 90 degrees two-theta, sorted by position)
- 3.819 Å, 2θ = 23.3°, intensity 25
- 3.728 Å, 2θ = 23.9°, intensity 25
- 3.679 Å, 2θ = 24.2°, intensity 24
- 2.681 Å, 2θ = 33.4°, intensity 31
- 2.668 Å, 2θ = 33.6°, intensity 69
- 2.619 Å, 2θ = 34.2°, intensity 100
- 2.177 Å, 2θ = 41.5°, intensity 12
- 1.531 Å, 2θ = 60.5°, intensity 24
- 1.519 Å, 2θ = 61.0°, intensity 12
- 1.503 Å, 2θ = 61.7°, intensity 12


Record 7
Diffraction record for Na5Tl4Hg2. The XRD peak list is simulated, not measured: it uses a GGA-PBE-relaxed structure and copper Kα.
Neutral-atom scattering factors, no anomalous dispersion.

Crystal structure
```
22
Lattice="8.584 0.000 0.000 0.000 19.964 0.000 0.000 0.000 3.556" Properties=species:S:1:pos:R:3 pbc="T T T"
Na 0.000 0.000 0.000
Na 1.150 8.642 0.000
Na 2.063 4.283 0.000
Na 2.229 14.265 0.000
Na 3.142 18.624 0.000
Na 4.292 9.982 0.000
Na 5.442 1.340 0.000
Na 6.355 5.699 0.000
Na 6.522 15.681 0.000
Na 7.435 11.322 0.000
Tl 0.654 16.923 1.778
Tl 1.820 11.434 1.778
Tl 2.472 1.452 1.778
Tl 3.638 6.941 1.778
Tl 4.946 13.022 1.778
Tl 6.112 18.511 1.778
Tl 6.764 8.530 1.778
Tl 7.930 3.040 1.778
Hg 0.340 6.184 1.778
Hg 3.952 16.166 1.778
Hg 4.632 3.798 1.778
Hg 8.244 13.780 1.778
```

Peak list (10 most intense, 10 to 90 degrees two-theta, sorted by position)
- 4.315 Å, 2θ = 20.6°, intensity 51
- 3.943 Å, 2θ = 22.5°, intensity 37
- 3.556 Å, 2θ = 25.0°, intensity 70
- 2.747 Å, 2θ = 32.6°, intensity 100
- 2.707 Å, 2θ = 33.1°, intensity 31
- 2.641 Å, 2θ = 33.9°, intensity 43
- 2.630 Å, 2θ = 34.1°, intensity 40
- 2.534 Å, 2θ = 35.4°, intensity 26
- 2.176 Å, 2θ = 41.5°, intensity 38
- 2.114 Å, 2θ = 42.8°, intensity 33


Record 8
Diffraction record for Na7TlHg2. The XRD peak list is simulated, not measured: it uses a GGA-PBE-relaxed structure and copper Kα.
Neutral-atom scattering factors, no anomalous dispersion.

Crystal structure
```
10
Lattice="5.388 0.000 0.000 -2.694 4.666 0.000 0.000 0.000 12.791" Properties=species:S:1:pos:R:3 pbc="T T T"
Na 0.000 0.000 0.000
Na 0.000 0.000 3.347
Na 0.000 0.000 6.698
Na 0.000 3.111 1.717
Na 0.000 3.111 8.675
Na 2.694 1.555 4.886
Na 2.694 1.555 10.869
Tl 0.000 3.111 5.177
Hg 0.000 0.000 9.746
Hg 2.694 1.555 1.517
```

Peak list (10 most intense, 10 to 90 degrees two-theta, sorted by position)
- 4.384 Å, 2θ = 20.3°, intensity 100
- 4.264 Å, 2θ = 20.8°, intensity 31
- 3.769 Å, 2θ = 23.6°, intensity 48
- 2.694 Å, 2θ = 33.3°, intensity 56
- 2.638 Å, 2θ = 34.0°, intensity 50
- 2.295 Å, 2θ = 39.3°, intensity 19
- 2.277 Å, 2θ = 39.6°, intensity 37
- 1.885 Å, 2θ = 48.3°, intensity 18
- 1.701 Å, 2θ = 53.9°, intensity 18
- 1.544 Å, 2θ = 59.9°, intensity 19


Record 9
Diffraction record for Na3Tl2Hg7. The XRD peak list is simulated, not measured: it uses a GGA-PBE-relaxed structure and copper Kα.
Neutral-atom scattering factors, no anomalous dispersion.

Crystal structure
```
12
Lattice="5.222 0.000 0.000 0.000 3.566 0.000 -1.014 0.000 17.948" Properties=species:S:1:pos:R:3 pbc="T T T"
Na 0.000 0.000 0.000
Na 0.793 1.783 11.100
Na 3.414 1.783 6.848
Tl 0.820 0.000 5.187
Tl 3.388 0.000 12.761
Hg 0.747 1.783 2.423
Hg 0.798 0.000 8.233
Hg 0.798 0.000 14.507
Hg 2.611 1.783 0.000
Hg 3.410 0.000 3.441
Hg 3.409 0.000 9.715
Hg 3.460 1.783 15.525
```

Peak list (10 most intense, 10 to 90 degrees two-theta, sorted by position)
- 5.983 Å, 2θ = 14.8°, intensity 35
- 3.498 Å, 2θ = 25.5°, intensity 57
- 2.771 Å, 2θ = 32.3°, intensity 100
- 2.660 Å, 2θ = 33.7°, intensity 70
- 2.607 Å, 2θ = 34.4°, intensity 44
- 2.601 Å, 2θ = 34.5°, intensity 34
- 2.534 Å, 2θ = 35.4°, intensity 37
- 2.498 Å, 2θ = 36.0°, intensity 33
- 2.312 Å, 2θ = 38.9°, intensity 34
- 1.899 Å, 2θ = 47.9°, intensity 37


Record 10
Diffraction record for NaTl4Hg12. The XRD peak list is simulated, not measured: it uses a GGA-PBE-relaxed structure and copper Kα.
Neutral-atom scattering factors, no anomalous dispersion.

Crystal structure
```
17
Lattice="-4.959 4.959 4.959 4.959 -4.959 4.959 4.959 4.959 -4.959" Properties=species:S:1:pos:R:3 pbc="T T T"
Na 0.000 0.000 0.000
Tl 2.480 2.480 -2.480
Tl 2.480 -2.480 2.480
Tl -2.480 2.480 2.480
Tl 2.480 2.480 2.480
Hg 2.959 0.000 0.000
Hg 6.959 0.000 0.000
Hg 4.959 2.480 0.000
Hg 4.959 0.000 2.480
Hg 0.000 2.959 0.000
Hg 0.000 0.000 2.959
Hg 2.480 4.959 0.000
Hg 2.480 0.000 4.959
Hg 0.000 6.959 0.000
Hg 0.000 0.000 6.959
Hg 0.000 4.959 2.480
Hg 0.000 2.480 4.959
```

Peak list (10 most intense, 10 to 90 degrees two-theta, sorted by position)
- 2.863 Å, 2θ = 31.2°, intensity 100
- 2.480 Å, 2θ = 36.2°, intensity 51
- 2.338 Å, 2θ = 38.5°, intensity 9
- 2.115 Å, 2θ = 42.8°, intensity 8
- 1.753 Å, 2θ = 52.2°, intensity 30
- 1.495 Å, 2θ = 62.1°, intensity 32
- 1.432 Å, 2θ = 65.2°, intensity 9
- 1.350 Å, 2θ = 69.7°, intensity 7
- 1.138 Å, 2θ = 85.3°, intensity 10
- 1.109 Å, 2θ = 88.1°, intensity 10


Record 11
Diffraction record for Na7Tl3Hg. The XRD peak list is simulated, not measured: it uses a GGA-PBE-relaxed structure and copper Kα.
Neutral-atom scattering factors, no anomalous dispersion.

Crystal structure
```
11
Lattice="7.040 0.000 0.000 -3.520 6.097 0.000 0.000 0.000 8.080" Properties=species:S:1:pos:R:3 pbc="T T T"
Na 0.000 0.000 0.000
Na 0.000 2.069 3.019
Na -1.728 5.063 3.019
Na 3.520 0.010 0.043
Na 1.769 3.044 0.043
Na 1.728 5.063 3.019
Na 5.272 3.044 0.043
Tl 1.808 1.044 5.498
Tl 5.232 1.044 5.498
Tl 3.520 4.009 5.498
Hg 3.520 2.032 2.615
```

Peak list (10 most intense, 10 to 90 degrees two-theta, sorted by position)
- 8.080 Å, 2θ = 10.9°, intensity 59
- 6.097 Å, 2θ = 14.5°, intensity 60
- 4.867 Å, 2θ = 18.2°, intensity 29
- 3.227 Å, 2θ = 27.6°, intensity 28
- 2.852 Å, 2θ = 31.4°, intensity 100
- 2.693 Å, 2θ = 33.3°, intensity 22
- 2.434 Å, 2θ = 36.9°, intensity 62
- 1.684 Å, 2θ = 54.5°, intensity 21
- 1.473 Å, 2θ = 63.1°, intensity 21
- 1.427 Å, 2θ = 65.4°, intensity 22


Record 12
Diffraction record for Na2Tl5Hg2. The XRD peak list is simulated, not measured: it uses a GGA-PBE-relaxed structure and copper Kα.
Neutral-atom scattering factors, no anomalous dispersion.

Crystal structure
```
9
Lattice="5.846 0.000 0.000 0.831 6.332 0.000 2.770 2.330 7.198" Properties=species:S:1:pos:R:3 pbc="T T T"
Na 1.880 2.764 2.545
Na 7.567 5.898 4.653
Tl 2.712 5.782 1.298
Tl 4.648 7.446 5.200
Tl 4.724 4.331 3.599
Tl 4.799 1.216 1.998
Tl 6.735 2.879 5.900
Hg 3.805 4.250 6.637
Hg 5.642 4.412 0.561
```

Peak list (10 most intense, 10 to 90 degrees two-theta, sorted by position)
- 5.254 Å, 2θ = 16.9°, intensity 45
- 3.629 Å, 2θ = 24.5°, intensity 23
- 3.145 Å, 2θ = 28.4°, intensity 19
- 2.938 Å, 2θ = 30.4°, intensity 27
- 2.784 Å, 2θ = 32.2°, intensity 32
- 2.741 Å, 2θ = 32.7°, intensity 89
- 2.657 Å, 2θ = 33.7°, intensity 39
- 2.643 Å, 2θ = 33.9°, intensity 67
- 2.623 Å, 2θ = 34.2°, intensity 100
- 2.514 Å, 2θ = 35.7°, intensity 48


Copy entry 1 word for word.
Diffraction record for Na6HgTe4. The XRD peak list is simulated, not measured: it uses a GGA-PBE-relaxed structure and copper Kα.
Neutral-atom scattering factors, no anomalous dispersion.

Crystal structure
```
11
Lattice="-2.311 8.186 4.567 2.311 -8.186 4.567 2.311 8.186 -4.567" Properties=species:S:1:pos:R:3 pbc="T T T"
Na 2.311 -3.084 2.647
Na 0.000 2.033 0.000
Na 2.311 3.084 2.647
Na 0.000 5.890 1.583
Na 0.000 10.482 1.583
Na 0.000 14.339 0.000
Hg 0.000 0.000 3.899
Te 2.311 4.133 -0.216
Te 2.311 0.000 2.145
Te 0.000 4.053 4.351
Te 0.000 0.000 6.672
```

Peak list (10 most intense, 10 to 90 degrees two-theta, sorted by position)
- 7.976 Å, 2θ = 11.1°, intensity 60
- 4.124 Å, 2θ = 21.5°, intensity 61
- 4.093 Å, 2θ = 21.7°, intensity 72
- 3.988 Å, 2θ = 22.3°, intensity 40
- 3.187 Å, 2θ = 28.0°, intensity 29
- 2.905 Å, 2θ = 30.8°, intensity 100
- 2.543 Å, 2θ = 35.3°, intensity 43
- 2.428 Å, 2θ = 37.0°, intensity 37
- 2.310 Å, 2θ = 39.0°, intensity 38
- 2.160 Å, 2θ = 41.8°, intensity 48


Copy entry 5 word for word.
Diffraction record for NaTh2Hg4. The XRD peak list is simulated, not measured: it uses a GGA-PBE-relaxed structure and copper Kα.
Neutral-atom scattering factors, no anomalous dispersion.

Crystal structure
```
7
Lattice="2.613 1.508 8.457 -2.613 1.508 8.457 0.000 -3.017 8.457" Properties=species:S:1:pos:R:3 pbc="T T T"
Na 0.000 0.000 0.000
Th 0.000 0.000 6.307
Th 0.000 0.000 19.063
Hg 0.000 0.000 3.171
Hg 0.000 0.000 9.583
Hg 0.000 0.000 15.787
Hg 0.000 0.000 22.200
```

Peak list (10 most intense, 10 to 90 degrees two-theta, sorted by position)
- 4.262 Å, 2θ = 20.8°, intensity 35
- 2.613 Å, 2θ = 34.3°, intensity 100
- 2.597 Å, 2θ = 34.5°, intensity 98
- 2.224 Å, 2θ = 40.6°, intensity 23
- 1.842 Å, 2θ = 49.5°, intensity 36
- 1.508 Å, 2θ = 61.5°, intensity 19
- 1.505 Å, 2θ = 61.6°, intensity 38
- 1.496 Å, 2θ = 62.0°, intensity 18
- 1.167 Å, 2θ = 82.7°, intensity 17
- 1.163 Å, 2θ = 83.1°, intensity 16


What is the formula in the tenth record? NaTl4Hg12